This entry pairs a crystal structure of Sr3LaSb2As with its calculated powder diffraction line list. Radiation: a wavelength of 1.5418 Å. Structure: a cell relaxed with PBE.
No peak broadening, texture or thermal motion is included.

Peak list (8 most intense, 15 to 90 degrees two-theta, in order of falling intensity)
- 2θ 30.5, d 2.928, intensity 100
- 2θ 24.6, d 3.625, intensity 48
- 2θ 31.4, d 2.848, intensity 45
- 2θ 31.9, d 2.807, intensity 44
- 2θ 22.2, d 4.001, intensity 39
- 2θ 45.4, d 1.999, intensity 32
- 2θ 44.3, d 2.043, intensity 23
- 2θ 31.2, d 2.864, intensity 22

Cell and atoms:
```
7
Lattice="-2.807 2.848 8.591 2.807 -2.848 8.591 2.807 2.848 -8.591" Properties=species:S:1:pos:R:3 pbc="T T T"
Sr 0.000 0.000 0.000
Sr 2.807 0.000 3.090
Sr 0.000 2.848 5.502
La 0.000 0.000 8.591
Sb 2.807 0.000 6.378
Sb 0.000 2.848 2.213
As 2.807 0.000 0.000
```